Diffraction record for LaEuPd2. The powder X-ray diffraction pattern is theoretical, not measured: it uses the PBE geometry in the Materials Project and Cu Kα (weighted mean of Kα1 and Kα2).
Intensities are scaled so that the largest is 100.

Largest 6 diffraction maxima, by angle, 15 to 90 degrees two-theta:
| Position (°2θ) | Rel. int. |
| --- | --- |
| 24.37 | 2 |
| 34.73 | 100 |
| 49.94 | 18 |
| 62.26 | 36 |
| 73.31 | 11 |
| 83.74 | 16 |

Structural model:
Cell: 5.1655 5.1655 5.1655 Å, 60.00 60.00 60.00°
Sites, in units of the cell vectors:
La (0.0000, 0.0000, 0.0000)
Eu (0.5000, 0.5000, 0.5000)
Pd (0.2500, 0.2500, 0.2500)
Pd (0.7500, 0.7500, 0.7500)